# 1
Pr12Co6Hg: simulated powder diffraction line list (Cu Kα (weighted mean of Kα1 and Kα2)), based on the PBE geometry in Alexandria.
Neutral-atom scattering factors, no anomalous dispersion.

Unit cell a=8.7244 b=8.7244 c=8.7244 alpha=109.47 beta=109.47 gamma=109.47
Fractional positions:
1 Pr 0.1129 0.8067 0.3061
2 Pr 0.1933 0.3061 0.4994
3 Pr 0.1933 0.6939 0.8871
4 Pr 0.3061 0.1129 0.8067
5 Pr 0.3061 0.4994 0.1933
6 Pr 0.4994 0.1933 0.3061
7 Pr 0.5006 0.8067 0.6939
8 Pr 0.6939 0.5006 0.8067
9 Pr 0.6939 0.8871 0.1933
10 Pr 0.8067 0.3061 0.1129
11 Pr 0.8067 0.6939 0.5006
12 Pr 0.8871 0.1933 0.6939
13 Co 0.1108 0.6108 0.5000
14 Co 0.3892 0.5000 0.8892
15 Co 0.5000 0.1108 0.6108
16 Co 0.5000 0.8892 0.3892
17 Co 0.6108 0.5000 0.1108
18 Co 0.8892 0.3892 0.5000
19 Hg 0.0000 0.0000 0.0000

Principal peaks in the range 10 to 80 degrees two-theta, by angle:
28.0°, 3.186 Å, I = 45.8; 30.7°, 2.908 Å, I = 54.0; 33.3°, 2.692 Å, I = 100.0; 35.6°, 2.519 Å, I = 20.2; 45.9°, 1.976 Å, I = 27.9; 53.0°, 1.728 Å, I = 35.3; 56.3°, 1.634 Å, I = 38.3; 65.5°, 1.425 Å, I = 20.7



# 2
Na2NbCu: simulated powder diffraction line list (Cu Kα (weighted mean of Kα1 and Kα2)), based on the PBE geometry in Alexandria.
Neutral-atom scattering factors, no anomalous dispersion.

Unit cell a=8.3198 b=8.3198 c=5.3846 alpha=90.00 beta=90.00 gamma=90.00
Fractional positions:
1 Na 0.2014 0.2500 0.1250
2 Na 0.2500 0.7014 0.3750
3 Na 0.2500 0.7986 0.8750
4 Na 0.2986 0.2500 0.6250
5 Na 0.7014 0.7500 0.6250
6 Na 0.7500 0.2014 0.8750
7 Na 0.7500 0.2986 0.3750
8 Na 0.7986 0.7500 0.1250
9 Nb 0.0000 0.0000 0.5000
10 Nb 0.0000 0.5000 0.7500
11 Nb 0.5000 0.0000 0.2500
12 Nb 0.5000 0.5000 0.0000
13 Cu 0.0000 0.0000 0.0000
14 Cu 0.0000 0.5000 0.2500
15 Cu 0.5000 0.0000 0.7500
16 Cu 0.5000 0.5000 0.5000

Principal peaks in the range 10 to 80 degrees two-theta, by angle:
21.4°, 4.160 Å, I = 83.6; 30.4°, 2.942 Å, I = 100.0; 36.7°, 2.448 Å, I = 83.1; 43.5°, 2.080 Å, I = 33.7; 48.4°, 1.882 Å, I = 71.8; 49.0°, 1.860 Å, I = 22.6; 58.2°, 1.585 Å, I = 19.7; 67.1°, 1.395 Å, I = 24.8



# 3
Dy3Y5Sc2: simulated powder diffraction line list (Cu Kα (weighted mean of Kα1 and Kα2)), based on the PBE geometry in Alexandria.
Neutral-atom scattering factors, no anomalous dispersion.

Unit cell a=9.5500 b=9.5500 c=9.1476 alpha=108.75 beta=108.75 gamma=112.52
Fractional positions:
1 Dy 0.0223 0.2788 0.0483
2 Dy 0.2194 0.7806 0.7500
3 Dy 0.2788 0.0223 0.5483
4 Dy 0.7212 0.9777 0.4517
5 Dy 0.7806 0.2194 0.2500
6 Dy 0.9777 0.7212 0.9517
7 Y 0.0223 0.9777 0.7500
8 Y 0.1098 0.3884 0.7414
9 Y 0.2813 0.7187 0.2500
10 Y 0.3884 0.1098 0.2414
11 Y 0.4824 0.5176 0.2500
12 Y 0.5176 0.4824 0.7500
13 Y 0.6116 0.8902 0.7586
14 Y 0.7187 0.2813 0.7500
15 Y 0.8902 0.6116 0.2586
16 Y 0.9777 0.0223 0.2500
17 Sc 0.2187 0.4874 0.4540
18 Sc 0.4874 0.2187 0.9540
19 Sc 0.5126 0.7813 0.0460
20 Sc 0.7813 0.5126 0.5460

Principal peaks in the range 10 to 80 degrees two-theta, by angle:
20.5°, 4.331 Å, I = 28.5; 30.6°, 2.924 Å, I = 98.9; 31.4°, 2.848 Å, I = 100.0; 32.9°, 2.719 Å, I = 26.0; 33.8°, 2.652 Å, I = 51.9; 38.0°, 2.370 Å, I = 33.8; 40.0°, 2.252 Å, I = 19.7; 50.3°, 1.812 Å, I = 21.1



# 4
BaSrNiIr: simulated powder diffraction line list (Cu Kα (weighted mean of Kα1 and Kα2)), based on the PBE geometry in Alexandria.
Neutral-atom scattering factors, no anomalous dispersion.

Unit cell a=7.3984 b=4.2714 c=8.7016 alpha=90.00 beta=106.61 gamma=90.00
Fractional positions:
1 Ba 0.0000 0.0000 0.0000
2 Ba 0.5000 0.5000 0.0000
3 Sr 0.3369 0.5000 0.5145
4 Sr 0.8369 0.0000 0.5145
5 Ni 0.0812 0.5000 0.7459
6 Ni 0.5812 0.0000 0.7459
7 Ir 0.2488 0.0000 0.7485
8 Ir 0.7488 0.5000 0.7485

Principal peaks in the range 10 to 80 degrees two-theta, by angle:
10.6°, 8.338 Å, I = 100.0; 28.0°, 3.184 Å, I = 32.9; 30.0°, 2.974 Å, I = 40.4; 34.9°, 2.570 Å, I = 28.6; 37.7°, 2.388 Å, I = 18.5; 42.3°, 2.136 Å, I = 33.9; 43.8°, 2.069 Å, I = 19.4; 62.2°, 1.493 Å, I = 14.0



# 5
Zn2CuC2NCl6: simulated powder diffraction line list (Cu Kα (weighted mean of Kα1 and Kα2)), based on the PBE geometry in Alexandria.
Neutral-atom scattering factors, no anomalous dispersion.

Unit cell a=10.1582 b=10.1582 c=10.1582 alpha=136.53 beta=121.60 gamma=75.54
Fractional positions:
1 Zn 0.0143 0.3784 0.0342
2 Zn 0.4857 0.5199 0.3642
3 Zn 0.6558 0.1216 0.1358
4 Zn 0.8442 0.9801 0.4658
5 Cu 0.7253 0.9753 0.7500
6 Cu 0.7747 0.5247 0.2500
7 C 0.2492 0.8349 0.0848
8 C 0.2501 0.1644 0.4152
9 C 0.2499 0.6651 0.9144
10 C 0.2508 0.3356 0.5856
11 N 0.2481 0.9981 0.2500
12 N 0.2519 0.5019 0.7500
13 Cl 0.0256 0.2756 0.7500
14 Cl 0.2500 0.6045 0.3545
15 Cl 0.4744 0.2244 0.2500
16 Cl 0.5081 0.5024 0.1392
17 Cl 0.5187 0.0356 0.8072
18 Cl 0.6367 0.9976 0.5057
19 Cl 0.7284 0.7115 0.6928
20 Cl 0.7500 0.8955 0.1455
21 Cl 0.7716 0.4644 0.9831
22 Cl 0.8633 0.3689 0.3608
23 Cl 0.9813 0.7885 0.5169
24 Cl 0.9919 0.1311 0.9943

Principal peaks in the range 10 to 80 degrees two-theta, by angle:
10.5°, 8.435 Å, I = 100.0; 14.8°, 5.992 Å, I = 16.9; 17.9°, 4.956 Å, I = 16.3; 18.8°, 4.710 Å, I = 16.3; 27.2°, 3.274 Å, I = 23.6; 30.4°, 2.939 Å, I = 37.7; 31.9°, 2.807 Å, I = 17.4; 45.2°, 2.005 Å, I = 13.8



# 6
Li2Ag3Au: simulated powder diffraction line list (Cu Kα (weighted mean of Kα1 and Kα2)), based on the PBE geometry in Alexandria.
Neutral-atom scattering factors, no anomalous dispersion.

Unit cell a=2.7941 b=5.2116 c=15.3413 alpha=90.00 beta=90.00 gamma=90.00
Fractional positions:
1 Li 0.0000 0.0000 0.1486
2 Li 0.0000 0.0000 0.8514
3 Li 0.5000 0.5000 0.3514
4 Li 0.5000 0.5000 0.6486
5 Ag 0.0000 0.0000 0.3144
6 Ag 0.0000 0.0000 0.6856
7 Ag 0.0000 0.5000 0.5000
8 Ag 0.5000 0.0000 0.0000
9 Ag 0.5000 0.5000 0.1856
10 Ag 0.5000 0.5000 0.8144
11 Au 0.0000 0.0000 0.5000
12 Au 0.5000 0.5000 0.0000

Principal peaks in the range 10 to 80 degrees two-theta, by angle:
11.5°, 7.671 Å, I = 78.4; 18.0°, 4.935 Å, I = 74.1; 23.2°, 3.835 Å, I = 64.0; 32.6°, 2.749 Å, I = 100.0; 34.4°, 2.606 Å, I = 83.3; 43.8°, 2.066 Å, I = 74.5; 48.1°, 1.891 Å, I = 66.4; 56.9°, 1.619 Å, I = 67.4



# 7
Sn4Te3S: simulated powder diffraction line list (Cu Kα (weighted mean of Kα1 and Kα2)), based on the PBE geometry in Alexandria.
Neutral-atom scattering factors, no anomalous dispersion.

Unit cell a=14.6417 b=14.6417 c=14.6417 alpha=17.39 beta=17.39 gamma=17.39
Fractional positions:
1 Sn 0.1229 0.1229 0.1229
2 Sn 0.3683 0.3683 0.3683
3 Sn 0.6317 0.6317 0.6317
4 Sn 0.8771 0.8771 0.8771
5 Te 0.2543 0.2543 0.2543
6 Te 0.5000 0.5000 0.5000
7 Te 0.7457 0.7457 0.7457
8 S 0.0000 0.0000 0.0000

Principal peaks in the range 10 to 80 degrees two-theta, by angle:
28.5°, 3.127 Å, I = 100.0; 35.7°, 2.513 Å, I = 7.3; 40.8°, 2.211 Å, I = 73.4; 50.5°, 1.806 Å, I = 20.7; 59.1°, 1.563 Å, I = 11.3; 66.9°, 1.399 Å, I = 18.1; 67.0°, 1.397 Å, I = 12.1; 74.3°, 1.277 Å, I = 18.7



# 8
Nd2DyY5: simulated powder diffraction line list (Cu Kα (weighted mean of Kα1 and Kα2)), based on the PBE geometry in Alexandria.
Neutral-atom scattering factors, no anomalous dispersion.

Unit cell a=7.1913 b=14.3830 c=5.0784 alpha=90.00 beta=90.00 gamma=90.00
Fractional positions:
1 Nd 0.2491 0.1245 0.0000
2 Nd 0.2509 0.6245 0.0000
3 Nd 0.7491 0.3755 0.0000
4 Nd 0.7509 0.8755 0.0000
5 Dy 0.0000 0.0000 0.5000
6 Dy 0.5000 0.5000 0.5000
7 Y 0.9997 0.2495 0.5000
8 Y 0.0000 0.5000 0.5000
9 Y 0.0003 0.7505 0.5000
10 Y 0.2503 0.3753 0.0000
11 Y 0.2497 0.8753 0.0000
12 Y 0.5000 0.0000 0.5000
13 Y 0.4997 0.2505 0.5000
14 Y 0.5003 0.7495 0.5000
15 Y 0.7503 0.1247 0.0000
16 Y 0.7497 0.6247 0.0000

Principal peaks in the range 10 to 80 degrees two-theta, by angle:
17.4°, 5.085 Å, I = 2.7; 24.8°, 3.593 Å, I = 2.4; 30.5°, 2.935 Å, I = 100.0; 35.3°, 2.541 Å, I = 50.3; 50.8°, 1.797 Å, I = 35.3; 60.4°, 1.533 Å, I = 41.6; 63.4°, 1.467 Å, I = 11.9; 74.7°, 1.271 Å, I = 3.7



# 9
NaAlCl4: simulated powder diffraction line list (Cu Kα (weighted mean of Kα1 and Kα2)), based on the PBE geometry in Alexandria.
Neutral-atom scattering factors, no anomalous dispersion.

Unit cell a=8.1870 b=6.5852 c=6.4898 alpha=90.00 beta=90.00 gamma=90.00
Fractional positions:
1 Na 0.0000 0.0678 0.0000
2 Na 0.5000 0.9322 0.5000
3 Al 0.0000 0.6689 0.4163
4 Al 0.5000 0.3311 0.9163
5 Cl 0.0000 0.3522 0.3359
6 Cl 0.0000 0.7040 0.7444
7 Cl 0.2093 0.8199 0.2766
8 Cl 0.2907 0.1801 0.7766
9 Cl 0.5000 0.2960 0.2444
10 Cl 0.5000 0.6478 0.8359
11 Cl 0.7093 0.1801 0.7766
12 Cl 0.7907 0.8199 0.2766

Principal peaks in the range 10 to 80 degrees two-theta, by angle:
17.3°, 5.131 Å, I = 23.9; 17.4°, 5.086 Å, I = 21.8; 22.1°, 4.025 Å, I = 37.3; 27.5°, 3.245 Å, I = 34.9; 29.1°, 3.064 Å, I = 100.0; 30.4°, 2.936 Å, I = 37.1; 47.0°, 1.934 Å, I = 25.4; 49.6°, 1.837 Å, I = 26.4



# 10
Li4PrHg4: simulated powder diffraction line list (Cu Kα (weighted mean of Kα1 and Kα2)), based on the PBE geometry in Alexandria.
Neutral-atom scattering factors, no anomalous dispersion.

Unit cell a=6.5756 b=6.5756 c=9.0829 alpha=90.00 beta=90.00 gamma=90.00
Fractional positions:
1 Li 0.0250 0.2500 0.1465
2 Li 0.2500 0.0250 0.6465
3 Li 0.2500 0.4750 0.6465
4 Li 0.4750 0.2500 0.1465
5 Li 0.5250 0.7500 0.8535
6 Li 0.7500 0.5250 0.3535
7 Li 0.7500 0.9750 0.3535
8 Li 0.9750 0.7500 0.8535
9 Pr 0.2500 0.7500 0.2500
10 Pr 0.7500 0.2500 0.7500
11 Hg 0.0260 0.2500 0.4431
12 Hg 0.2500 0.0260 0.9431
13 Hg 0.2500 0.4740 0.9431
14 Hg 0.4740 0.2500 0.4431
15 Hg 0.5260 0.7500 0.5569
16 Hg 0.7500 0.5260 0.0569
17 Hg 0.7500 0.9740 0.0569
18 Hg 0.9740 0.7500 0.5569

Principal peaks in the range 10 to 80 degrees two-theta, by angle:
19.5°, 4.541 Å, I = 25.3; 23.8°, 3.737 Å, I = 26.6; 28.9°, 3.091 Å, I = 100.0; 32.0°, 2.798 Å, I = 28.1; 32.6°, 2.750 Å, I = 27.6; 38.7°, 2.325 Å, I = 18.3; 43.7°, 2.069 Å, I = 32.3; 59.8°, 1.546 Å, I = 20.4



# 11
Ca5C2N6: simulated powder diffraction line list (Cu Kα (weighted mean of Kα1 and Kα2)), based on the PBE geometry in Alexandria.
Neutral-atom scattering factors, no anomalous dispersion.

Unit cell a=5.4648 b=5.4648 c=12.2633 alpha=97.62 beta=97.62 gamma=65.52
Fractional positions:
1 Ca 0.0920 0.9080 0.7500
2 Ca 0.1777 0.7036 0.0063
3 Ca 0.2906 0.4037 0.2919
4 Ca 0.2964 0.8223 0.4937
5 Ca 0.4037 0.2906 0.7919
6 Ca 0.5963 0.7094 0.2081
7 Ca 0.7036 0.1777 0.5063
8 Ca 0.7094 0.5963 0.7081
9 Ca 0.8223 0.2964 0.9937
10 Ca 0.9080 0.0920 0.2500
11 C 0.1307 0.4173 0.5759
12 C 0.4173 0.1307 0.0759
13 C 0.5827 0.8693 0.9241
14 C 0.8693 0.5827 0.4241
15 N 0.0929 0.2227 0.6406
16 N 0.1400 0.3210 0.4517
17 N 0.2227 0.0929 0.1406
18 N 0.3210 0.1400 0.9517
19 N 0.3500 0.4935 0.6247
20 N 0.4935 0.3500 0.1247
21 N 0.5065 0.6500 0.8753
22 N 0.6500 0.5065 0.3753
23 N 0.6790 0.8600 0.0483
24 N 0.7773 0.9071 0.8594
25 N 0.8600 0.6790 0.5483
26 N 0.9071 0.7773 0.3594

Principal peaks in the range 10 to 80 degrees two-theta, by angle:
29.5°, 3.027 Å, I = 41.8; 33.3°, 2.691 Å, I = 53.6; 33.7°, 2.657 Å, I = 100.0; 35.1°, 2.554 Å, I = 78.8; 37.4°, 2.402 Å, I = 74.3; 37.7°, 2.386 Å, I = 39.2; 38.3°, 2.353 Å, I = 48.5; 38.4°, 2.342 Å, I = 39.7



# 12
Li2LaTe2: simulated powder diffraction line list (Cu Kα (weighted mean of Kα1 and Kα2)), based on the PBE geometry in Alexandria.
Neutral-atom scattering factors, no anomalous dispersion.

Unit cell a=4.1299 b=4.1299 c=14.5915 alpha=90.00 beta=90.00 gamma=90.00
Fractional positions:
1 Li 0.0000 0.5000 0.2500
2 Li 0.0000 0.5000 0.7500
3 Li 0.5000 0.0000 0.2500
4 Li 0.5000 0.0000 0.7500
5 La 0.0000 0.0000 0.0000
6 La 0.5000 0.5000 0.5000
7 Te 0.0000 0.0000 0.3764
8 Te 0.0000 0.0000 0.6236
9 Te 0.5000 0.5000 0.1236
10 Te 0.5000 0.5000 0.8764

Principal peaks in the range 10 to 80 degrees two-theta, by angle:
12.1°, 7.296 Å, I = 31.7; 28.3°, 3.148 Å, I = 100.0; 30.6°, 2.920 Å, I = 60.6; 37.7°, 2.383 Å, I = 50.1; 43.8°, 2.065 Å, I = 25.0; 53.0°, 1.727 Å, I = 34.6; 59.2°, 1.561 Å, I = 26.7; 59.8°, 1.547 Å, I = 17.7